# Na2ReO3
Simulated XRD peak list, Cu Ka. Input: a structure optimized by DFT (PBE).
No peak broadening, texture or thermal motion is included.

Largest 12 diffraction maxima, most intense first, 5 to 70 degrees two-theta:
2θ 18.16, rel. 100.0
2θ 31.73, rel. 42.6
2θ 34.40, rel. 41.1
2θ 23.23, rel. 20.1
2θ 48.03, rel. 17.7
2θ 58.25, rel. 17.1
2θ 36.80, rel. 15.9
2θ 47.50, rel. 15.1
2θ 49.37, rel. 14.7
2θ 56.53, rel. 14.2
2θ 68.29, rel. 13.5
2θ 55.31, rel. 11.8

Cell and atoms:
Lattice parameters (Å, degrees): 5.640 5.640 12.332 90.00 90.00 120.00
Fractional coordinates of all 24 atoms:
Na: 0.333 0.667 0.000
Na: 0.333 0.667 0.250
Na: 0.333 0.667 0.500
Na: 0.333 0.667 0.750
Na: 0.667 0.333 0.000
Na: 0.667 0.333 0.250
Na: 0.667 0.333 0.500
Na: 0.667 0.333 0.750
Re: 0.000 0.000 0.155
Re: 0.000 0.000 0.345
Re: 0.000 0.000 0.655
Re: 0.000 0.000 0.845
O: 0.000 0.319 0.124
O: 0.000 0.319 0.376
O: 0.000 0.681 0.624
O: 0.000 0.681 0.876
O: 0.319 0.000 0.124
O: 0.319 0.000 0.376
O: 0.319 0.319 0.624
O: 0.319 0.319 0.876
O: 0.681 0.000 0.624
O: 0.681 0.000 0.876
O: 0.681 0.681 0.124
O: 0.681 0.681 0.376

=====

# NaSr2ReO6
Simulated XRD peak list, Cu Ka. Input: a structure optimized by DFT (PBE).
No peak broadening, texture or thermal motion is included.

Largest 12 diffraction maxima, most intense first, 5 to 70 degrees two-theta:
2θ 30.78, rel. 100.0
2θ 18.71, rel. 52.9
2θ 54.74, rel. 39.8
2θ 44.09, rel. 33.6
2θ 36.27, rel. 25.0
2θ 64.12, rel. 20.3
2θ 58.37, rel. 10.4
2θ 67.44, rel. 10.0
2θ 48.29, rel. 9.5
2θ 21.63, rel. 4.4
2θ 49.63, rel. 1.5
2θ 37.94, rel. 1.2

Cell and atoms:
Lattice parameters (Å, degrees): 5.809 5.809 5.809 60.00 60.00 60.00
Fractional coordinates of all 10 atoms:
Na: 0.000 0.000 0.000
Sr: 0.250 0.250 0.250
Sr: 0.750 0.750 0.750
Re: 0.500 0.500 0.500
O: 0.269 0.269 0.731
O: 0.269 0.731 0.269
O: 0.269 0.731 0.731
O: 0.731 0.269 0.269
O: 0.731 0.269 0.731
O: 0.731 0.731 0.269

=====

# NaRhS2O8
Simulated XRD peak list, Cu Ka. Input: a structure optimized by DFT (PBE).
No peak broadening, texture or thermal motion is included.

Largest 12 diffraction maxima, most intense first, 5 to 70 degrees two-theta:
2θ 12.28, rel. 100.0
2θ 23.50, rel. 74.2
2θ 31.74, rel. 44.7
2θ 26.10, rel. 37.9
2θ 32.62, rel. 36.5
2θ 38.01, rel. 33.6
2θ 22.33, rel. 26.0
2θ 34.26, rel. 21.8
2θ 20.30, rel. 19.2
2θ 42.70, rel. 15.2
2θ 63.17, rel. 11.3
2θ 48.06, rel. 11.0

Cell and atoms:
Lattice parameters (Å, degrees): 4.769 4.769 7.218 92.37 92.37 66.57
Fractional coordinates of all 12 atoms:
Na: 0.000 0.000 0.000
Rh: 0.000 0.000 0.500
S: 0.366 0.366 0.715
S: 0.634 0.634 0.285
O: 0.245 0.714 0.711
O: 0.256 0.256 0.542
O: 0.283 0.283 0.889
O: 0.286 0.755 0.289
O: 0.714 0.245 0.711
O: 0.717 0.717 0.111
O: 0.744 0.744 0.458
O: 0.755 0.286 0.289

=====

# NaRuO2
Simulated XRD peak list, Cu Ka. Input: a structure optimized by DFT (PBE).
No peak broadening, texture or thermal motion is included.

Largest 12 diffraction maxima, most intense first, 5 to 70 degrees two-theta:
2θ 16.05, rel. 100.0
2θ 43.02, rel. 27.2
2θ 32.43, rel. 21.6
2θ 43.82, rel. 20.3
2θ 44.03, rel. 19.9
2θ 35.08, rel. 18.5
2θ 36.60, rel. 16.9
2θ 33.11, rel. 16.8
2θ 34.59, rel. 16.1
2θ 32.90, rel. 15.9
2θ 62.04, rel. 14.1
2θ 36.27, rel. 12.8

Cell and atoms:
Lattice parameters (Å, degrees): 3.257 5.061 5.692 103.98 91.47 90.03
Fractional coordinates of all 8 atoms:
Na: 0.000 0.000 0.000
Na: 0.497 0.501 0.994
Ru: 0.479 0.682 0.510
Ru: 0.978 0.155 0.518
O: 0.470 0.265 0.328
O: 0.487 0.081 0.726
O: 0.971 0.754 0.301
O: 0.987 0.572 0.700

=====

# NaRu4O8
Simulated XRD peak list, Cu Ka. Input: a structure optimized by DFT (PBE).
No peak broadening, texture or thermal motion is included.

Largest 12 diffraction maxima, most intense first, 5 to 70 degrees two-theta:
2θ 34.94, rel. 100.0
2θ 28.86, rel. 65.1
2θ 18.14, rel. 52.7
2θ 12.80, rel. 47.9
2θ 47.88, rel. 45.6
2θ 58.56, rel. 35.6
2θ 68.13, rel. 25.9
2θ 36.75, rel. 19.5
2θ 39.07, rel. 18.5
2θ 56.44, rel. 16.1
2θ 66.22, rel. 11.6
2θ 58.16, rel. 11.0

Cell and atoms:
Lattice parameters (Å, degrees): 7.096 7.096 7.096 92.86 92.86 154.17
Fractional coordinates of all 13 atoms:
Na: 0.000 0.000 0.000
Ru: 0.150 0.672 0.822
Ru: 0.328 0.150 0.478
Ru: 0.672 0.850 0.522
Ru: 0.850 0.328 0.178
O: 0.049 0.341 0.389
O: 0.308 0.358 0.666
O: 0.341 0.951 0.292
O: 0.358 0.692 0.051
O: 0.642 0.308 0.949
O: 0.659 0.049 0.708
O: 0.692 0.642 0.334
O: 0.951 0.659 0.611

=====

# Na2RuO4
Simulated XRD peak list, Cu Ka. Input: a structure optimized by DFT (PBE).
No peak broadening, texture or thermal motion is included.

Largest 12 diffraction maxima, most intense first, 5 to 70 degrees two-theta:
2θ 18.77, rel. 100.0
2θ 31.43, rel. 70.7
2θ 18.39, rel. 56.8
2θ 31.19, rel. 50.8
2θ 32.36, rel. 43.2
2θ 33.04, rel. 24.1
2θ 46.08, rel. 23.8
2θ 45.39, rel. 22.7
2θ 57.32, rel. 16.8
2θ 56.84, rel. 15.8
2θ 24.98, rel. 15.6
2θ 38.07, rel. 14.0

Cell and atoms:
Lattice parameters (Å, degrees): 10.843 7.130 11.056 90.00 119.20 90.00
Fractional coordinates of all 56 atoms:
Na: 0.150 0.068 0.085
Na: 0.150 0.432 0.585
Na: 0.194 0.541 0.088
Na: 0.194 0.959 0.588
Na: 0.310 0.013 0.912
Na: 0.310 0.487 0.412
Na: 0.347 0.502 0.901
Na: 0.347 0.998 0.401
Na: 0.653 0.002 0.599
Na: 0.653 0.498 0.099
Na: 0.690 0.513 0.588
Na: 0.690 0.987 0.088
Na: 0.806 0.041 0.412
Na: 0.806 0.459 0.912
Na: 0.850 0.568 0.415
Na: 0.850 0.932 0.915
Ru: 0.000 0.245 0.751
Ru: 0.000 0.255 0.251
Ru: 0.000 0.745 0.749
Ru: 0.000 0.755 0.249
Ru: 0.499 0.730 0.752
Ru: 0.499 0.770 0.252
Ru: 0.501 0.230 0.748
Ru: 0.501 0.270 0.248
O: 0.018 0.148 0.611
O: 0.018 0.352 0.111
O: 0.031 0.508 0.347
O: 0.031 0.992 0.847
O: 0.159 0.182 0.403
O: 0.159 0.318 0.903
O: 0.171 0.747 0.260
O: 0.171 0.753 0.760
O: 0.336 0.227 0.752
O: 0.336 0.273 0.252
O: 0.336 0.644 0.613
O: 0.336 0.856 0.113
O: 0.452 0.521 0.149
O: 0.452 0.979 0.649
O: 0.493 0.680 0.399
O: 0.493 0.820 0.899
O: 0.507 0.180 0.101
O: 0.507 0.320 0.601
O: 0.548 0.021 0.351
O: 0.548 0.479 0.851
O: 0.664 0.144 0.887
O: 0.664 0.356 0.387
O: 0.664 0.727 0.748
O: 0.664 0.773 0.248
O: 0.829 0.247 0.240
O: 0.829 0.253 0.740
O: 0.841 0.682 0.097
O: 0.841 0.818 0.597
O: 0.969 0.008 0.153
O: 0.969 0.492 0.653
O: 0.982 0.648 0.889
O: 0.982 0.852 0.389